The following is a computed powder XRD pattern of Na5B9C. It was derived from a DFT-relaxed cell (GGA-PBE, Alexandria), using copper Kα.
Lines closer than 0.1° are merged.

Most intense lines, 2θ from 10° to 80°, sorted by position:
| 2θ (°) | d/Å | I (rel.) |
| --- | --- | --- |
| 34.64 | 2.590 | 21.1 |
| 35.08 | 2.558 | 9.2 |
| 40.56 | 2.224 | 100.0 |
| 40.95 | 2.204 | 50.9 |
| 41.62 | 2.170 | 36.2 |
| 55.22 | 1.663 | 11.3 |
| 61.79 | 1.501 | 9.1 |
| 62.65 | 1.483 | 17.4 |
| 75.23 | 1.263 | 12.4 |
| 76.82 | 1.241 | 12.0 |
| 77.27 | 1.235 | 8.7 |
| 78.05 | 1.224 | 17.0 |

Cell and atoms:
a b c (Å): 5.116 7.931 9.184
angles (deg): 71.99 89.97 71.19
Positions (direct):
Na  0.000  0.000  0.000
Na  0.100  0.801  0.500
Na  0.203  0.600  0.001
Na  0.299  0.401  0.500
Na  0.397  0.201  0.999
Na  0.500  0.000  0.500
Na  0.603  0.799  0.001
Na  0.701  0.599  0.500
Na  0.797  0.400  0.999
Na  0.900  0.199  0.500
B  0.018  0.294  0.751
B  0.070  0.499  0.751
B  0.178  0.282  0.250
B  0.211  0.900  0.750
B  0.286  0.103  0.750
B  0.332  0.699  0.250
B  0.360  0.918  0.250
B  0.412  0.506  0.750
B  0.488  0.698  0.749
B  0.512  0.302  0.251
B  0.588  0.494  0.250
B  0.640  0.082  0.750
B  0.668  0.301  0.750
B  0.714  0.897  0.250
B  0.789  0.100  0.250
B  0.822  0.718  0.750
B  0.930  0.501  0.249
B  0.982  0.706  0.249
C  0.109  0.100  0.250
C  0.891  0.900  0.750

---

The following is a computed powder XRD pattern of Na10B13C7. It was derived from a DFT-relaxed cell (GGA-PBE, Alexandria), using copper Kα.
Lines closer than 0.1° are merged.

Most intense lines, 2θ from 10° to 80°, sorted by position:
| 2θ (°) | d/Å | I (rel.) |
| --- | --- | --- |
| 35.56 | 2.525 | 10.0 |
| 36.26 | 2.478 | 17.6 |
| 41.60 | 2.171 | 50.5 |
| 42.21 | 2.141 | 100.0 |
| 42.49 | 2.127 | 38.1 |
| 56.58 | 1.627 | 5.4 |
| 57.06 | 1.614 | 9.8 |
| 64.32 | 1.448 | 17.3 |
| 65.68 | 1.422 | 8.4 |
| 77.14 | 1.236 | 6.2 |
| 77.56 | 1.231 | 12.6 |
| 79.15 | 1.210 | 5.8 |

Cell and atoms:
a b c (Å): 11.480 11.480 9.894
angles (deg): 107.51 107.51 14.23
Positions (direct):
Na  0.000  0.000  0.000
Na  0.099  0.099  0.697
Na  0.199  0.199  0.399
Na  0.300  0.300  0.100
Na  0.400  0.400  0.801
Na  0.500  0.500  0.498
Na  0.600  0.600  0.198
Na  0.700  0.700  0.898
Na  0.799  0.799  0.601
Na  0.900  0.900  0.302
B  0.016  0.016  0.282
B  0.117  0.117  0.983
B  0.186  0.186  0.122
B  0.210  0.210  0.670
B  0.282  0.282  0.814
B  0.319  0.319  0.389
B  0.389  0.389  0.527
B  0.419  0.419  0.088
B  0.577  0.577  0.903
B  0.613  0.613  0.476
B  0.780  0.780  0.311
B  0.823  0.823  0.895
B  0.983  0.983  0.715
C  0.081  0.081  0.413
C  0.484  0.484  0.218
C  0.514  0.514  0.777
C  0.679  0.679  0.607
C  0.717  0.717  0.185
C  0.887  0.887  0.023
C  0.919  0.919  0.587

---

The following is a computed powder XRD pattern of Na4B7C. It was derived from a DFT-relaxed cell (GGA-PBE, Alexandria), using copper Kα.
Lines closer than 0.1° are merged.

Most intense lines, 2θ from 10° to 80°, sorted by position:
| 2θ (°) | d/Å | I (rel.) |
| --- | --- | --- |
| 33.23 | 2.696 | 14.3 |
| 35.98 | 2.496 | 16.8 |
| 39.32 | 2.292 | 51.2 |
| 41.53 | 2.174 | 37.2 |
| 41.72 | 2.165 | 100.0 |
| 56.09 | 1.640 | 9.6 |
| 61.17 | 1.515 | 19.1 |
| 66.39 | 1.408 | 7.4 |
| 73.55 | 1.288 | 8.1 |
| 75.90 | 1.254 | 13.2 |
| 76.65 | 1.243 | 18.0 |
| 79.97 | 1.200 | 9.5 |

Cell and atoms:
a b c (Å): 2.816 8.697 5.392
angles (deg): 90.00 90.00 90.00
Positions (direct):
Na  0.000  0.248  0.000
Na  0.000  0.752  0.000
Na  0.500  0.250  0.498
Na  0.500  0.750  0.498
B  0.000  0.000  0.343
B  0.000  0.000  0.655
B  0.000  0.500  0.316
B  0.000  0.500  0.650
B  0.500  0.000  0.154
B  0.500  0.000  0.843
B  0.500  0.500  0.865
C  0.500  0.500  0.160

---

The following is a computed powder XRD pattern of Na10B13C7. It was derived from a DFT-relaxed cell (GGA-PBE, Alexandria), using copper Kα.
Lines closer than 0.1° are merged.

Most intense lines, 2θ from 10° to 80°, sorted by position:
| 2θ (°) | d/Å | I (rel.) |
| --- | --- | --- |
| 35.46 | 2.532 | 7.4 |
| 36.38 | 2.470 | 12.4 |
| 41.47 | 2.178 | 36.5 |
| 42.29 | 2.137 | 100.0 |
| 56.38 | 1.632 | 4.0 |
| 57.03 | 1.615 | 6.9 |
| 64.26 | 1.450 | 12.8 |
| 66.05 | 1.415 | 5.9 |
| 76.85 | 1.241 | 4.4 |
| 77.26 | 1.235 | 1.3 |
| 77.40 | 1.233 | 9.1 |
| 78.87 | 1.214 | 4.5 |

Cell and atoms:
a b c (Å): 7.513 7.513 8.996
angles (deg): 107.24 107.24 39.39
Positions (direct):
Na  0.049  0.049  0.246
Na  0.151  0.151  0.754
Na  0.248  0.252  0.248
Na  0.349  0.352  0.752
Na  0.446  0.451  0.243
Na  0.549  0.554  0.757
Na  0.648  0.651  0.248
Na  0.748  0.752  0.752
Na  0.849  0.849  0.246
Na  0.951  0.951  0.754
B  0.036  0.356  0.500
B  0.129  0.471  0.000
B  0.177  0.823  0.500
B  0.329  0.671  0.000
B  0.367  0.025  0.500
B  0.529  0.871  0.000
B  0.538  0.271  0.500
B  0.644  0.964  0.500
B  0.729  0.071  0.000
B  0.729  0.462  0.500
B  0.848  0.152  0.500
B  0.929  0.271  0.000
B  0.975  0.633  0.500
C  0.064  0.736  0.001
C  0.234  0.570  0.500
C  0.264  0.936  0.999
C  0.430  0.766  0.500
C  0.464  0.136  0.000
C  0.664  0.336  0.000
C  0.864  0.536  0.000

---

The following is a computed powder XRD pattern of Na10B13C7. It was derived from a DFT-relaxed cell (GGA-PBE, Alexandria), using copper Kα.
Lines closer than 0.1° are merged.

Most intense lines, 2θ from 10° to 80°, sorted by position:
| 2θ (°) | d/Å | I (rel.) |
| --- | --- | --- |
| 35.46 | 2.532 | 7.5 |
| 36.40 | 2.468 | 12.5 |
| 41.47 | 2.178 | 36.6 |
| 42.31 | 2.136 | 100.0 |
| 56.38 | 1.632 | 4.0 |
| 57.05 | 1.614 | 7.0 |
| 64.28 | 1.449 | 12.5 |
| 66.11 | 1.413 | 5.9 |
| 68.36 | 1.372 | 1.4 |
| 76.85 | 1.240 | 4.4 |
| 77.42 | 1.233 | 9.1 |
| 78.87 | 1.214 | 4.3 |

Cell and atoms:
a b c (Å): 8.537 12.737 12.737
angles (deg): 12.74 90.00 90.00
Positions (direct):
Na  0.245  0.000  0.000
Na  0.246  0.400  0.400
Na  0.247  0.600  0.600
Na  0.247  0.801  0.801
Na  0.248  0.201  0.201
Na  0.752  0.201  0.201
Na  0.753  0.600  0.600
Na  0.753  0.801  0.801
Na  0.754  0.400  0.400
Na  0.755  0.000  0.000
B  0.000  0.066  0.066
B  0.000  0.266  0.266
B  0.000  0.466  0.466
B  0.000  0.666  0.666
B  0.000  0.866  0.866
B  0.500  0.064  0.064
B  0.500  0.129  0.129
B  0.500  0.274  0.274
B  0.500  0.341  0.341
B  0.500  0.524  0.524
B  0.500  0.670  0.670
B  0.500  0.736  0.736
B  0.500  0.933  0.933
C  0.000  0.133  0.133
C  0.000  0.333  0.333
C  0.000  0.533  0.533
C  0.000  0.733  0.733
C  0.000  0.933  0.933
C  0.500  0.463  0.463
C  0.500  0.870  0.870

---

The following is a computed powder XRD pattern of Na4B7C. It was derived from a DFT-relaxed cell (GGA-PBE, Alexandria), using copper Kα.
Lines closer than 0.1° are merged.

Most intense lines, 2θ from 10° to 80°, sorted by position:
| 2θ (°) | d/Å | I (rel.) |
| --- | --- | --- |
| 33.62 | 2.666 | 13.0 |
| 35.71 | 2.514 | 17.8 |
| 39.68 | 2.271 | 51.7 |
| 41.51 | 2.176 | 100.0 |
| 41.61 | 2.170 | 37.1 |
| 55.97 | 1.643 | 10.0 |
| 61.49 | 1.508 | 18.6 |
| 65.48 | 1.425 | 10.2 |
| 74.47 | 1.274 | 7.2 |
| 75.87 | 1.254 | 13.0 |
| 77.00 | 1.238 | 17.6 |
| 79.35 | 1.208 | 10.1 |

Cell and atoms:
a b c (Å): 9.191 9.191 10.662
angles (deg): 106.82 106.82 17.85
Positions (direct):
Na  0.000  0.000  0.000
Na  0.000  0.000  0.500
Na  0.249  0.249  0.124
Na  0.251  0.251  0.625
Na  0.499  0.499  0.749
Na  0.501  0.501  0.251
Na  0.749  0.749  0.375
Na  0.751  0.751  0.876
B  0.125  0.125  0.238
B  0.125  0.125  0.399
B  0.125  0.125  0.718
B  0.125  0.125  0.884
B  0.375  0.375  0.022
B  0.375  0.375  0.504
B  0.375  0.375  0.859
B  0.625  0.625  0.141
B  0.625  0.625  0.496
B  0.625  0.625  0.978
B  0.875  0.875  0.116
B  0.875  0.875  0.282
B  0.875  0.875  0.601
B  0.875  0.875  0.762
C  0.375  0.375  0.355
C  0.625  0.625  0.645

---

The following is a computed powder XRD pattern of Na5B8C2. It was derived from a DFT-relaxed cell (GGA-PBE, Alexandria), using copper Kα.
Lines closer than 0.1° are merged.

Most intense lines, 2θ from 10° to 80°, sorted by position:
| 2θ (°) | d/Å | I (rel.) |
| --- | --- | --- |
| 34.99 | 2.564 | 20.6 |
| 35.24 | 2.547 | 19.1 |
| 35.50 | 2.529 | 17.5 |
| 40.93 | 2.205 | 97.6 |
| 41.14 | 2.194 | 98.7 |
| 41.38 | 2.182 | 100.0 |
| 41.83 | 2.159 | 73.0 |
| 62.74 | 1.481 | 17.5 |
| 63.26 | 1.470 | 17.2 |
| 63.74 | 1.460 | 16.7 |
| 78.28 | 1.221 | 28.0 |
| 78.75 | 1.215 | 16.7 |

Cell and atoms:
a b c (Å): 5.129 8.638 7.718
angles (deg): 90.00 108.92 90.00
Positions (direct):
Na  0.000  0.248  0.000
Na  0.000  0.752  0.000
Na  0.198  0.249  0.400
Na  0.198  0.751  0.400
Na  0.399  0.252  0.801
Na  0.399  0.748  0.801
Na  0.597  0.249  0.201
Na  0.597  0.751  0.201
Na  0.799  0.250  0.600
Na  0.799  0.750  0.600
B  0.066  0.000  0.812
B  0.130  0.500  0.611
B  0.140  0.000  0.601
B  0.267  0.000  0.186
B  0.322  0.500  0.001
B  0.461  0.500  0.604
B  0.492  0.000  0.619
B  0.519  0.500  0.389
B  0.524  0.000  0.396
B  0.650  0.000  0.989
B  0.655  0.500  0.002
B  0.764  0.500  0.806
B  0.856  0.500  0.397
B  0.872  0.000  0.406
B  0.925  0.000  0.195
B  0.959  0.500  0.195
C  0.068  0.500  0.806
C  0.262  0.500  0.196
C  0.333  0.000  0.995
C  0.742  0.000  0.804

---

The following is a computed powder XRD pattern of Na10B13C7. It was derived from a DFT-relaxed cell (GGA-PBE, Alexandria), using copper Kα.
Lines closer than 0.1° are merged.

Most intense lines, 2θ from 10° to 80°, sorted by position:
| 2θ (°) | d/Å | I (rel.) |
| --- | --- | --- |
| 35.33 | 2.540 | 7.8 |
| 36.39 | 2.469 | 12.4 |
| 41.36 | 2.183 | 36.0 |
| 42.31 | 2.136 | 100.0 |
| 56.31 | 1.634 | 4.1 |
| 57.05 | 1.614 | 6.9 |
| 64.11 | 1.453 | 12.2 |
| 66.17 | 1.412 | 5.9 |
| 76.80 | 1.241 | 4.3 |
| 77.44 | 1.232 | 9.1 |
| 78.58 | 1.217 | 4.2 |
| 79.89 | 1.201 | 11.8 |

Cell and atoms:
a b c (Å): 8.535 12.780 12.780
angles (deg): 12.69 90.00 90.00
Positions (direct):
Na  0.243  0.000  0.000
Na  0.248  0.398  0.398
Na  0.248  0.600  0.600
Na  0.249  0.199  0.199
Na  0.250  0.798  0.798
Na  0.750  0.798  0.798
Na  0.751  0.199  0.199
Na  0.752  0.398  0.398
Na  0.752  0.600  0.600
Na  0.757  0.000  0.000
B  0.000  0.136  0.136
B  0.000  0.330  0.330
B  0.000  0.467  0.467
B  0.000  0.538  0.538
B  0.000  0.733  0.733
B  0.000  0.926  0.926
B  0.500  0.069  0.069
B  0.500  0.258  0.258
B  0.500  0.326  0.326
B  0.500  0.477  0.477
B  0.500  0.663  0.663
B  0.500  0.868  0.868
B  0.500  0.934  0.934
C  0.000  0.070  0.070
C  0.000  0.265  0.265
C  0.000  0.668  0.668
C  0.000  0.862  0.862
C  0.500  0.132  0.132
C  0.500  0.537  0.537
C  0.500  0.727  0.727

---

The following is a computed powder XRD pattern of Na5B8C2. It was derived from a DFT-relaxed cell (GGA-PBE, Alexandria), using copper Kα.
Lines closer than 0.1° are merged.

Most intense lines, 2θ from 10° to 80°, sorted by position:
| 2θ (°) | d/Å | I (rel.) |
| --- | --- | --- |
| 33.95 | 2.641 | 9.9 |
| 36.06 | 2.491 | 11.9 |
| 39.97 | 2.256 | 17.7 |
| 40.08 | 2.250 | 17.6 |
| 41.87 | 2.158 | 100.0 |
| 56.41 | 1.631 | 6.8 |
| 62.13 | 1.494 | 13.1 |
| 66.19 | 1.412 | 6.4 |
| 75.32 | 1.262 | 4.8 |
| 76.50 | 1.245 | 6.3 |
| 77.63 | 1.230 | 6.2 |
| 77.85 | 1.227 | 6.2 |

Cell and atoms:
a b c (Å): 11.786 11.786 10.135
angles (deg): 105.87 105.87 13.76
Positions (direct):
Na  0.000  0.000  0.000
Na  0.100  0.100  0.696
Na  0.200  0.200  0.401
Na  0.300  0.300  0.101
Na  0.400  0.400  0.797
Na  0.500  0.500  0.500
Na  0.600  0.600  0.203
Na  0.700  0.700  0.899
Na  0.800  0.800  0.599
Na  0.900  0.900  0.304
B  0.015  0.015  0.281
B  0.081  0.081  0.413
B  0.117  0.117  0.985
B  0.180  0.180  0.111
B  0.212  0.212  0.673
B  0.277  0.277  0.804
B  0.379  0.379  0.508
B  0.425  0.425  0.101
B  0.575  0.575  0.899
B  0.621  0.621  0.492
B  0.723  0.723  0.196
B  0.788  0.788  0.327
B  0.820  0.820  0.889
B  0.883  0.883  0.015
B  0.919  0.919  0.587
B  0.985  0.985  0.719
C  0.319  0.319  0.389
C  0.484  0.484  0.218
C  0.516  0.516  0.782
C  0.681  0.681  0.611